# CsRbCdO2
Computed X-ray diffraction stick pattern, a wavelength of 1.5418 Å. Input: a DFT-relaxed cell (PBE, Alexandria).
Lines closer than 0.1° are merged.

Structure:
```
CsRbCdO2
1.0
3.914 -7.658 0.000
3.914 7.658 0.000
0.000 0.000 6.740
Cs Rb Cd O
2 2 2 4
Direct
0.250 0.750 0.870 Cs
0.750 0.250 0.130 Cs
0.250 0.250 0.500 Rb
0.750 0.750 0.500 Rb
0.000 0.000 0.000 Cd
0.500 0.500 0.000 Cd
0.076 0.924 0.760 O
0.424 0.576 0.760 O
0.576 0.424 0.240 O
0.924 0.076 0.240 O
```

The 12 most intense peaks (2θ from 10° to 80°), by angle:
2θ = 11.6°, I = 31
2θ = 13.1°, I = 37
2θ = 18.3°, I = 63
2θ = 22.7°, I = 28
2θ = 23.2°, I = 73
2θ = 26.3°, I = 90
2θ = 28.9°, I = 30
2θ = 29.4°, I = 27
2θ = 35.4°, I = 100
2θ = 48.2°, I = 35
2θ = 55.1°, I = 27
2θ = 59.7°, I = 28

***

# CsCd2Se2O6
Computed X-ray diffraction stick pattern, a wavelength of 1.5418 Å. Input: a DFT-relaxed cell (PBE, Alexandria).
Lines closer than 0.1° are merged.

Structure:
```
CsCd2Se2O6
1.0
5.131 0.000 0.000
-2.214 6.245 0.000
-0.400 -2.611 7.061
Cs Cd Se O
1 2 2 6
Direct
0.000 0.000 0.000 Cs
0.392 0.761 0.503 Cd
0.608 0.239 0.497 Cd
0.222 0.474 0.786 Se
0.778 0.526 0.214 Se
0.130 0.573 0.212 O
0.214 0.337 0.547 O
0.373 0.756 0.800 O
0.627 0.244 0.200 O
0.786 0.663 0.453 O
0.870 0.427 0.788 O
```

The 12 most intense peaks (2θ from 10° to 80°), by angle:
2θ = 24.1°, I = 82
2θ = 24.3°, I = 100
2θ = 24.5°, I = 43
2θ = 28.7°, I = 76
2θ = 29.3°, I = 23
2θ = 31.7°, I = 22
2θ = 33.7°, I = 17
2θ = 35.1°, I = 55
2θ = 39.7°, I = 19
2θ = 41.2°, I = 22
2θ = 41.7°, I = 21
2θ = 44.5°, I = 26

***

# CsSrCdO2
Computed X-ray diffraction stick pattern, a wavelength of 1.5418 Å. Input: a DFT-relaxed cell (PBE, Alexandria).
Lines closer than 0.1° are merged.

Structure:
```
CsSrCdO2
1.0
8.043 0.000 0.000
0.000 6.571 0.000
-2.534 0.000 6.779
Cs Sr Cd O
2 2 2 4
Direct
0.000 0.217 0.250 Cs
0.000 0.783 0.750 Cs
0.500 0.495 0.750 Sr
0.500 0.505 0.250 Sr
0.500 0.000 0.000 Cd
0.500 0.000 0.500 Cd
0.380 0.289 0.450 O
0.380 0.711 0.950 O
0.620 0.289 0.050 O
0.620 0.711 0.550 O
```

The 12 most intense peaks (2θ from 10° to 80°), by angle:
2θ = 11.7°, I = 38
2θ = 18.8°, I = 47
2θ = 19.6°, I = 49
2θ = 23.6°, I = 84
2θ = 24.7°, I = 25
2θ = 28.3°, I = 47
2θ = 29.7°, I = 100
2θ = 31.7°, I = 21
2θ = 35.4°, I = 27
2θ = 38.9°, I = 21
2θ = 45.5°, I = 29
2θ = 49.5°, I = 17